[1]
For CsBa3I6, a cell relaxed with PBE gives the theoretical PXRD pattern in this record (Cu Kα (λ = 1.5418 Å)).
No peak broadening, texture or thermal motion is included.

```
data_CsBa3I6
_space_group_name_H-M_alt 'P 1'
_space_group_IT_number 1
_space_group_name_Hall 'P 1'
_cell_length_a 14.9801
_cell_length_b 5.0370
_cell_length_c 15.4179
_cell_angle_alpha 90.00
_cell_angle_beta 114.13
_cell_angle_gamma 90.00
loop_
_atom_site_label
_atom_site_fract_x
_atom_site_fract_y
_atom_site_fract_z
Cs1 0.2076 0.2500 0.0615
Cs2 0.7924 0.7500 0.9385
Ba1 0.0343 0.7500 0.2966
Ba2 0.3672 0.2500 0.4526
Ba3 0.3965 0.7500 0.8356
Ba4 0.6035 0.2500 0.1644
Ba5 0.6328 0.7500 0.5474
Ba6 0.9657 0.2500 0.7034
I1 0.0238 0.7500 0.8762
I2 0.1283 0.2500 0.4633
I3 0.2250 0.2500 0.7945
I4 0.2553 0.7500 0.2741
I5 0.4224 0.7500 0.0740
I6 0.4440 0.7500 0.6361
I7 0.5560 0.2500 0.3639
I8 0.5776 0.2500 0.9260
I9 0.7447 0.2500 0.7259
I10 0.7750 0.7500 0.2055
I11 0.8717 0.7500 0.5367
I12 0.9762 0.2500 0.1238
```

Top 8 peaks for 2θ = 10–80°, most intense first:
- hkl 1 1 2, 3.688 Å, I 100
- hkl 0 1 3, 3.433 Å, I 65
- hkl 0 2 0, 2.519 Å, I 62
- hkl 4 0 -2, 3.732 Å, I 61
- hkl 3 1 -4, 2.919 Å, I 56
- hkl 1 1 -3, 3.592 Å, I 41
- hkl 2 1 1, 3.667 Å, I 32
- hkl 3 1 1, 3.082 Å, I 31

[2]
For CsBa2I5, a cell relaxed with PBE gives the theoretical PXRD pattern in this record (Cu Kα (λ = 1.5418 Å)).
No peak broadening, texture or thermal motion is included.

```
data_CsBa2I5
_space_group_name_H-M_alt 'P 1'
_space_group_IT_number 1
_space_group_name_Hall 'P 1'
_cell_length_a 5.2714
_cell_length_b 8.6902
_cell_length_c 18.1875
_cell_angle_alpha 90.00
_cell_angle_beta 90.00
_cell_angle_gamma 90.00
loop_
_atom_site_label
_atom_site_fract_x
_atom_site_fract_y
_atom_site_fract_z
Cs1 0.0000 0.0000 0.0000
Cs2 0.5000 0.5000 0.5000
Ba1 0.0000 0.5000 0.1870
Ba2 0.0000 0.5000 0.8130
Ba3 0.5000 0.0000 0.3130
Ba4 0.5000 0.0000 0.6870
I1 0.0000 0.2639 0.3469
I2 0.0000 0.2639 0.6531
I3 0.0000 0.5000 0.0000
I4 0.0000 0.7361 0.3469
I5 0.0000 0.7361 0.6531
I6 0.5000 0.0000 0.5000
I7 0.5000 0.2361 0.1531
I8 0.5000 0.2361 0.8469
I9 0.5000 0.7639 0.1531
I10 0.5000 0.7639 0.8469
```

Top 8 peaks for 2θ = 10–80°, most intense first:
- hkl 1 2 1, 3.297 Å, I 100
- hkl 1 0 3, 3.978 Å, I 49
- hkl 0 2 4, 3.141 Å, I 42
- hkl 1 2 3, 2.934 Å, I 39
- hkl 0 0 6, 3.031 Å, I 38
- hkl 2 0 0, 2.636 Å, I 35
- hkl 1 2 5, 2.465 Å, I 33
- hkl 2 4 0, 1.677 Å, I 31